No. 1
For CsHg3Ge, a structure optimized by DFT (GGA-PBE) gives the calculated XRD peak list in this record (Cu Kα X-rays).

Crystal structure
```
data_CsHg3Ge
_cell_length_a 5.657
_cell_length_b 5.657
_cell_length_c 5.657
_cell_angle_alpha 90.00
_cell_angle_beta 90.00
_cell_angle_gamma 90.00
_symmetry_space_group_name_H-M 'P m -3 m'
_symmetry_Int_Tables_number 221
_symmetry_space_group_name_Hall '-P 4 2 3'
loop_
_atom_site_label
_atom_site_type_symbol
_atom_site_fract_x
_atom_site_fract_y
_atom_site_fract_z
Cs1 Cs 0.000 0.000 0.000
Hg1 Hg 0.000 0.500 0.500
Ge1 Ge 0.500 0.500 0.500
```

The 8 most intense peaks (2θ = 10–80°), in order of rising 2θ:
hkl, 2θ (°), I/Imax
1 0 0, 15.7, 13
1 1 1, 27.3, 100
2 0 0, 31.6, 78
2 2 0, 45.3, 59
3 1 1, 53.7, 48
2 2 2, 56.3, 21
3 3 1, 72.9, 20
4 2 0, 75.1, 27

No. 2
For Rb2Ca2Si3O9, a structure optimized by DFT (GGA-PBE) gives the calculated XRD peak list in this record (Cu Kα X-rays).

Crystal structure
```
data_Rb2Ca2Si3O9
_cell_length_a 6.680
_cell_length_b 7.476
_cell_length_c 12.249
_cell_angle_alpha 90.00
_cell_angle_beta 119.16
_cell_angle_gamma 90.00
_symmetry_space_group_name_H-M 'P 1 c 1'
_symmetry_Int_Tables_number 7
loop_
_symmetry_equiv_pos_as_xyz
'x,y,z'
'x,-y,z+1/2'
loop_
_atom_site_label
_atom_site_type_symbol
_atom_site_fract_x
_atom_site_fract_y
_atom_site_fract_z
Rb1 Rb 0.000 0.088 0.000
Rb2 Rb 0.386 0.161 0.372
Ca1 Ca 0.434 0.335 0.686
Ca2 Ca 0.900 0.435 0.418
Si1 Si 0.433 0.362 0.956
Si2 Si 0.675 0.085 0.180
Si3 Si 0.989 0.245 0.724
O1 O 0.037 0.325 0.616
O2 O 0.246 0.213 0.853
O3 O 0.300 0.494 0.006
O4 O 0.452 0.042 0.638
O5 O 0.549 0.464 0.884
O6 O 0.628 0.233 0.067
O7 O 0.767 0.180 0.314
O8 O 0.826 0.354 0.764
O9 O 0.893 0.035 0.684
```

The 8 most intense peaks (2θ = 10–80°), in order of rising 2θ:
hkl, 2θ (°), I/Imax
0 2 1, 25.2, 48
2 0 -2, 26.7, 45
1 2 -1, 27.4, 64
0 1 3, 27.7, 68
1 0 -4, 29.2, 47
1 1 2, 30.1, 71
1 2 1, 31.6, 100
2 0 -4, 32.6, 65

No. 3
For Ho2Cu4S5, a structure optimized by DFT (GGA-PBE) gives the calculated XRD peak list in this record (Cu Kα X-rays).

Crystal structure
```
data_Ho2Cu4S5
_cell_length_a 3.8184
_cell_length_b 3.8184
_cell_length_c 47.7509
_cell_angle_alpha 90.00
_cell_angle_beta 90.00
_cell_angle_gamma 120.00
_symmetry_space_group_name_H-M 'R -3 m'
_symmetry_Int_Tables_number 166
_symmetry_space_group_name_Hall '-R 3 2"'
loop_
_atom_site_label
_atom_site_type_symbol
_atom_site_fract_x
_atom_site_fract_y
_atom_site_fract_z
Ho1 Ho 0.0000 0.0000 0.1324
Cu1 Cu 0.0000 0.0000 0.3113
Cu2 Cu 0.0000 0.0000 0.4139
S1 S 0.0000 0.0000 0.2348
S2 S 0.0000 0.0000 0.3663
S3 S 0.0000 0.0000 0.5000
```

The 8 most intense peaks (2θ = 10–80°), in order of rising 2θ:
hkl, 2θ (°), I/Imax
1 0 4, 28.0, 64
1 0 7, 30.0, 42
0 1 8, 30.9, 24
0 0 18, 33.8, 24
0 1 11, 34.1, 100
1 1 0, 47.6, 63
1 0 22, 50.3, 32
1 1 18, 59.7, 27